[1]
Starting from DFT lattice parameters and positions (PBE), the X-ray powder pattern of Na5B6C4 was simulated for Cu Kα (λ = 1.5418 Å).
No peak broadening, texture or thermal motion is included.

Principal peaks in the range 10° ≤ 2θ ≤ 80°, in order of rising 2θ:
- (2 0 4), 2θ = 35.91°, intensity 10
- (1 1 2), 2θ = 36.50°, intensity 17
- (6 0 2), 2θ = 41.93°, intensity 50
- (5 1 0), 2θ = 42.45°, intensity 100
- (8 0 -4), 2θ = 42.60°, intensity 39
- (7 1 -6), 2θ = 57.32°, intensity 10
- (3 1 6), 2θ = 64.93°, intensity 17
- (13 1 -4), 2θ = 77.87°, intensity 13

Atomic structure:
```
data_Na5B6C4
_cell_length_a 17.700
_cell_length_b 2.828
_cell_length_c 13.121
_cell_angle_alpha 90.00
_cell_angle_beta 113.92
_cell_angle_gamma 90.00
_space_group_name_H-M_alt 'C 1 m 1'
_space_group_IT_number 8
loop_
_space_group_symop_operation_xyz
'x,y,z'
'x,-y,z'
'x+1/2,y+1/2,z'
'x+1/2,-y+1/2,z'
loop_
_atom_site_label
_atom_site_fract_x
_atom_site_fract_y
_atom_site_fract_z
_atom_site_occupancy
Na1 0.000 0.000 0.000 1
Na2 0.001 0.000 0.498 1
Na3 0.100 0.500 0.199 1
Na4 0.101 0.500 0.699 1
Na5 0.199 0.000 0.398 1
Na6 0.202 0.000 0.899 1
Na7 0.300 0.500 0.598 1
Na8 0.302 0.500 0.097 1
Na9 0.400 0.000 0.799 1
Na10 0.402 0.000 0.296 1
B1 0.042 0.000 0.832 1
B2 0.067 0.500 0.380 1
B3 0.137 0.500 0.020 1
B4 0.166 0.000 0.580 1
B5 0.231 0.000 0.209 1
B6 0.266 0.500 0.780 1
B7 0.325 0.500 0.396 1
B8 0.366 0.000 0.478 1
B9 0.367 0.000 0.981 1
B10 0.433 0.000 0.613 1
B11 0.467 0.500 0.180 1
B12 0.472 0.500 0.693 1
C1 0.034 0.000 0.313 1
C2 0.072 0.500 0.892 1
C3 0.133 0.500 0.514 1
C4 0.168 0.000 0.082 1
C5 0.232 0.000 0.714 1
C6 0.263 0.500 0.272 1
C7 0.333 0.500 0.914 1
C8 0.434 0.000 0.114 1
```



[2]
Starting from DFT lattice parameters and positions (PBE), the X-ray powder pattern of BP2RhC was simulated for Cu Kα (λ = 1.5418 Å).
No peak broadening, texture or thermal motion is included.

Principal peaks in the range 10° ≤ 2θ ≤ 80°, in order of rising 2θ:
- (0 0 1), 2θ = 16.09°, intensity 100
- (2 0 0), 2θ = 24.92°, intensity 19
- (1 1 0), 2θ = 32.17°, intensity 38
- (2 0 1), 2θ = 33.10°, intensity 39
- (1 1 -1), 2θ = 34.68°, intensity 63
- (2 0 -2), 2θ = 35.86°, intensity 34
- (1 1 -2), 2θ = 43.95°, intensity 35
- (3 1 0), 2θ = 48.69°, intensity 44

Atomic structure:
```
data_BP2RhC
_cell_length_a 7.380
_cell_length_b 3.021
_cell_length_c 5.689
_cell_angle_alpha 90.00
_cell_angle_beta 104.42
_cell_angle_gamma 90.00
_space_group_name_H-M_alt 'C 1 m 1'
_space_group_IT_number 8
loop_
_space_group_symop_operation_xyz
'x,y,z'
'x,-y,z'
'x+1/2,y+1/2,z'
'x+1/2,-y+1/2,z'
loop_
_atom_site_label
_atom_site_fract_x
_atom_site_fract_y
_atom_site_fract_z
_atom_site_occupancy
B1 0.000 0.000 0.000 1
P1 0.253 0.500 0.393 1
P2 0.377 0.000 0.856 1
Rh1 0.068 0.000 0.612 1
C1 0.155 0.000 0.242 1
```